# 1
For MgPaNi5As2, a cell relaxed with GGA-PBE gives the calculated powder diffractogram in this record (a wavelength of 1.5418 Å).
Kinematic intensities with the Lorentz-polarization factor, no thermal factor.

Principal peaks in the range 15 to 90 degrees two-theta, by intensity:
| h k l | two_theta | Rel. int. |
| --- | --- | --- |
| 1 1 2 | 38.79 | 100 |
| 1 0 3 | 39.23 | 79 |
| 2 0 0 | 46.34 | 74 |
| 1 1 1 | 34.03 | 60 |
| 1 0 2 | 31.04 | 52 |
| 1 0 1 | 25.02 | 46 |

Cell and atoms:
Unit cell a=3.919 b=3.919 c=8.503 alpha=90.00 beta=90.00 gamma=90.00
Space group P4/mmm (No. 123)
One atom of each set of equivalent atoms:
Mg: 0.000 0.000 0.000 (multiplicity 1)
Pa: 0.000 0.000 0.500 (multiplicity 1)
Ni: 0.000 0.500 0.199 (multiplicity 4)
Ni: 0.500 0.500 0.000 (multiplicity 1)
As: 0.500 0.500 0.342 (multiplicity 2)

---

# 2
For Pm4GeAs2Cl, a cell relaxed with GGA-PBE gives the calculated powder diffractogram in this record (a wavelength of 1.5418 Å).
Kinematic intensities with the Lorentz-polarization factor, no thermal factor.

Principal peaks in the range 15 to 90 degrees two-theta, by intensity:
| h k l | two_theta | Rel. int. |
| --- | --- | --- |
| 2 0 0 | 30.07 | 100 |
| 2 0 4 | 42.86 | 74 |
| 0 0 4 | 29.83 | 50 |
| 1 1 2 | 25.89 | 40 |
| 2 2 4 | 53.24 | 39 |
| 2 2 0 | 43.04 | 37 |

Cell and atoms:
Unit cell a=5.944 b=5.944 c=11.982 alpha=90.00 beta=90.00 gamma=90.00
Space group I4/mmm (No. 139)
One atom of each set of equivalent atoms:
Pm: 0.000 0.000 0.243 (multiplicity 4)
Pm: 0.000 0.500 0.000 (multiplicity 4)
Ge: 0.000 0.000 0.000 (multiplicity 2)
As: 0.000 0.500 0.250 (multiplicity 4)
Cl: 0.000 0.000 0.500 (multiplicity 2)